1.
This entry pairs a crystal structure of Na2PuBr4 with its theoretical X-ray powder pattern. Radiation: Cu Kα X-rays. Structure: a structure optimized by DFT (GGA-PBE).

Largest 10 diffraction maxima, in order of rising 2θ, 2θ = 5–70°:
7.726 Å, rel. 59
5.466 Å, rel. 100
4.132 Å, rel. 31
3.863 Å, rel. 29
2.922 Å, rel. 60
2.732 Å, rel. 66
2.576 Å, rel. 47
1.996 Å, rel. 45
1.932 Å, rel. 36
1.612 Å, rel. 27

```
7
Lattice="-2.9218 2.9218 7.7264 2.9218 -2.9218 7.7264 2.9218 2.9218 -7.7264" Properties=species:S:1:pos:R:3 pbc="T T T"
Na 0.0000 0.0000 2.0558
Na 0.0000 0.0000 13.3970
Pu 0.0000 0.0000 7.7264
Br 2.9218 0.0000 0.0000
Br 0.0000 0.0000 4.8217
Br 0.0000 2.9218 0.0000
Br 0.0000 0.0000 10.6310
```

***

2.
This entry pairs a crystal structure of TbEr2Sc2 with its theoretical X-ray powder pattern. Radiation: Cu Kα X-rays. Structure: a structure optimized by DFT (GGA-PBE).

Largest 10 diffraction maxima, in order of rising 2θ, 2θ = 5–70°:
6.896 Å, rel. 27
2.866 Å, rel. 100
2.806 Å, rel. 37
2.758 Å, rel. 55
2.663 Å, rel. 48
2.584 Å, rel. 51
2.337 Å, rel. 52
1.759 Å, rel. 26
1.722 Å, rel. 42
1.461 Å, rel. 31

```
20
Lattice="13.9306 0.0000 0.0000 0.0000 6.8867 0.0000 -0.8408 0.0000 5.9092" Properties=species:S:1:pos:R:3 pbc="T T T"
Tb 2.6138 0.8474 0.8858
Tb 2.1934 2.5960 3.8403
Tb 10.8963 4.2907 2.0688
Tb 10.4759 6.0394 5.0234
Er 2.6246 4.3176 0.8589
Er 2.2042 6.0125 3.8135
Er 4.8562 0.8551 5.2068
Er 5.2766 2.5883 2.2522
Er 7.8131 4.2985 3.6570
Er 8.2336 6.0317 0.7024
Er 10.8856 0.8742 2.0957
Er 10.4651 2.5692 5.0503
Sc -0.6294 0.8616 4.4324
Sc -0.2089 2.5818 1.4778
Sc 13.2987 4.3050 4.4314
Sc 13.7191 6.0251 1.4768
Sc 4.8356 4.3118 5.2302
Sc 5.2560 6.0183 2.2757
Sc 7.8337 0.8684 3.6335
Sc 8.2541 2.5749 0.6789
```

***

3.
This entry pairs a crystal structure of Pr3Al2O8 with its theoretical X-ray powder pattern. Radiation: Cu Kα X-rays. Structure: a structure optimized by DFT (GGA-PBE).

Largest 10 diffraction maxima, in order of rising 2θ, 2θ = 5–70°:
4.710 Å, rel. 44
3.425 Å, rel. 18
3.024 Å, rel. 96
2.804 Å, rel. 100
2.115 Å, rel. 19
2.056 Å, rel. 45
1.796 Å, rel. 29
1.658 Å, rel. 36
1.619 Å, rel. 19
1.402 Å, rel. 17

```
13
Lattice="2.8041 1.6190 6.4421 -2.8041 1.6190 6.4421 0.0000 -3.2379 6.4421" Properties=species:S:1:pos:R:3 pbc="T T T"
Pr 0.0000 0.0000 0.0000
Pr 0.0000 0.0000 3.8740
Pr 0.0000 0.0000 15.4523
Al 0.0000 0.0000 7.8829
Al 0.0000 0.0000 11.4433
O -1.4478 -0.8359 10.8995
O 0.0000 -1.6718 8.4267
O -1.4478 0.8359 8.4267
O 0.0000 0.0000 6.1337
O 0.0000 0.0000 13.1925
O 1.4478 -0.8359 10.8995
O 0.0000 1.6718 10.8995
O 1.4478 0.8359 8.4267
```

***

4.
This entry pairs a crystal structure of Li5Hg2 with its theoretical X-ray powder pattern. Radiation: Cu Kα X-rays. Structure: a structure optimized by DFT (GGA-PBE).

Largest 10 diffraction maxima, in order of rising 2θ, 2θ = 5–70°:
6.595 Å, rel. 50
3.931 Å, rel. 100
3.432 Å, rel. 44
3.205 Å, rel. 22
3.094 Å, rel. 39
2.964 Å, rel. 33
2.408 Å, rel. 20
2.274 Å, rel. 28
2.266 Å, rel. 32
2.212 Å, rel. 24

```
14
Lattice="6.6149 -2.4884 0.0000 6.6149 2.4884 0.0000 -0.6029 0.0000 7.6627" Properties=species:S:1:pos:R:3 pbc="T T T"
Li 4.8733 1.5489 0.3110
Li 3.3890 0.8601 5.1750
Li 6.1627 1.5003 5.7470
Li 8.0551 1.5489 3.5203
Li 3.6905 -0.8601 1.3436
Li 8.9364 0.8601 6.3191
Li 4.5719 -1.5489 4.1424
Li 6.4642 -1.5003 1.9157
Li 9.2379 -0.8601 2.4878
Li 7.7536 -1.5489 7.3517
Hg 5.2638 0.9444 3.0043
Hg 7.6646 0.9444 0.8271
Hg 4.9623 -0.9444 6.8357
Hg 7.3631 -0.9444 4.6584
```

***

5.
This entry pairs a crystal structure of AcPuBi2O8 with its theoretical X-ray powder pattern. Radiation: Cu Kα X-rays. Structure: a structure optimized by DFT (GGA-PBE).

Largest 10 diffraction maxima, in order of rising 2θ, 2θ = 5–70°:
3.847 Å, rel. 100
3.793 Å, rel. 97
3.111 Å, rel. 49
3.065 Å, rel. 47
3.015 Å, rel. 51
2.965 Å, rel. 47
2.708 Å, rel. 32
2.694 Å, rel. 30
2.060 Å, rel. 35
2.036 Å, rel. 18

```
12
Lattice="5.3952 0.0000 0.0000 -0.0720 5.4165 0.0000 -0.3777 -0.1301 7.3465" Properties=species:S:1:pos:R:3 pbc="T T T"
Ac 0.0000 0.0000 0.0000
Pu -0.1888 -0.0650 3.6733
Bi 2.2590 2.5139 5.5856
Bi 2.6865 2.7725 1.7609
O 0.6672 1.0486 5.4084
O 0.8722 0.7808 2.2454
O 1.0832 3.9984 3.8960
O 1.3543 3.5792 7.2571
O 3.5912 1.7072 0.0894
O 3.8623 1.2880 3.4505
O 4.0733 4.5056 5.1012
O 4.2783 4.2378 1.9381
```

***

Question: Which formula does entry 3 have?
Answer: Pr3Al2O8